No. 1
Computed powder diffractogram
Compound: Sr3AlRe
Radiation: CuKα
Structure: a structure optimized by DFT (PBE)
Lines closer than 0.1° are merged.

a = 10.5407 Å, b = 10.5407 Å, c = 5.1379 Å
α = 90.00°, β = 90.00°, γ = 120.00°
Fractional coordinates of all 10 atoms:
Sr1 0.1741 0.3482 0.2500
Sr2 0.1741 0.8259 0.2500
Sr3 0.3482 0.1741 0.7500
Sr4 0.6518 0.8259 0.2500
Sr5 0.8259 0.1741 0.7500
Sr6 0.8259 0.6518 0.7500
Al1 0.0000 0.0000 0.0000
Al2 0.0000 0.0000 0.5000
Re1 0.3333 0.6667 0.2500
Re2 0.6667 0.3333 0.7500

Peak list (8 most intense, 2θ from 15° to 90°, in order of rising 2θ)
two_theta	I/Imax
16.8	19
19.4	33
19.8	100
31.2	52
34.0	48
39.7	32
46.8	26
49.6	26

No. 2
Computed powder diffractogram
Compound: Zr2AlRe3
Radiation: CuKα
Structure: a structure optimized by DFT (PBE)
Lines closer than 0.1° are merged.

a = 5.2625 Å, b = 5.2625 Å, c = 8.6753 Å
α = 90.00°, β = 90.00°, γ = 120.00°
Fractional coordinates of all 12 atoms:
Zr1 0.3333 0.6667 0.0653
Zr2 0.3333 0.6667 0.4347
Zr3 0.6667 0.3333 0.5653
Zr4 0.6667 0.3333 0.9347
Al1 0.0000 0.0000 0.0000
Al2 0.0000 0.0000 0.5000
Re1 0.1704 0.3408 0.7500
Re2 0.1704 0.8296 0.7500
Re3 0.3408 0.1704 0.2500
Re4 0.6592 0.8296 0.7500
Re5 0.8296 0.1704 0.2500
Re6 0.8296 0.6592 0.2500

Peak list (8 most intense, 2θ from 15° to 90°, in order of rising 2θ)
two_theta	I/Imax
20.5	51
36.8	47
39.5	22
40.1	41
40.9	100
51.0	20
67.9	29
71.7	19

No. 3
Computed powder diffractogram
Compound: Sr2AlTcS6
Radiation: CuKα
Structure: a structure optimized by DFT (PBE)
Lines closer than 0.1° are merged.

a = 6.8669 Å, b = 6.8669 Å, c = 6.8669 Å
α = 125.06°, β = 125.06°, γ = 81.45°
Fractional coordinates of all 10 atoms:
Sr1 0.2500 0.7500 0.5000
Sr2 0.7500 0.2500 0.5000
Al1 0.0000 0.0000 0.0000
Tc1 0.5000 0.5000 0.0000
S1 0.1660 0.6729 0.8389
S2 0.2589 0.2589 0.0000
S3 0.3271 0.1660 0.4931
S4 0.6729 0.8340 0.5069
S5 0.7411 0.7411 0.0000
S6 0.8340 0.3271 0.1611

Peak list (8 most intense, 2θ from 15° to 90°, in order of rising 2θ)
two_theta	I/Imax
26.2	100
28.2	91
33.1	45
34.5	74
40.3	62
45.1	49
48.7	79
54.0	50

No. 4
Computed powder diffractogram
Compound: ZrAl2S5
Radiation: CuKα
Structure: a structure optimized by DFT (PBE)
Lines closer than 0.1° are merged.

a = 6.0689 Å, b = 6.0689 Å, c = 4.9835 Å
α = 90.00°, β = 90.00°, γ = 90.00°
Fractional coordinates of all 8 atoms:
Zr1 0.0000 0.0000 0.0000
Al1 0.0000 0.5000 0.5000
Al2 0.5000 0.0000 0.5000
S1 0.0000 0.0000 0.5000
S2 0.2917 0.2917 0.0000
S3 0.2917 0.7083 0.0000
S4 0.7083 0.2917 0.0000
S5 0.7083 0.7083 0.0000

Peak list (8 most intense, 2θ from 15° to 90°, in order of rising 2θ)
two_theta	I/Imax
17.8	99
20.7	45
27.4	100
33.0	98
36.0	76
42.1	76
49.7	58
56.6	61